Starting from a crystal structure in Alexandria, relaxed with GGA-PBE, the powder diffractogram of Tb3TmTe was simulated for Cu Ka.

Atomic structure:
```
Tb3TmTe
1.0
6.0174 -2.8865 0.0000
6.0174 2.8865 0.0000
-0.9316 0.0000 9.0831
Tb Tm Te
6 2 2
Cartesian
0.3912 0.0000 3.1140 Tb
0.7848 0.0000 8.6835 Tb
4.1508 0.0000 3.3218 Tb
6.9523 0.0000 5.7613 Tb
10.3183 0.0000 0.3996 Tb
10.7119 0.0000 5.9691 Tb
4.2870 0.0000 7.7035 Tm
6.8161 0.0000 1.3796 Tm
1.9886 0.0000 5.7494 Te
9.1145 0.0000 3.3337 Te
```

Most intense lines, 15 to 90 degrees two-theta, in order of rising 2θ:
2θ (°), I/Imax
26.6, 26
29.5, 15
29.7, 27
31.0, 71
32.3, 100
32.4, 25
35.0, 54
40.8, 15
45.5, 24
56.0, 35

Starting from a crystal structure in Alexandria, relaxed with GGA-PBE, the powder diffractogram of TbTmTe was simulated for Cu Ka.

Atomic structure:
```
TbTmTe
1.0
8.2220 -1.9885 0.0000
8.2220 1.9885 0.0000
-0.5508 0.0000 11.0322
Tb Tm Te
4 4 4
Cartesian
0.1717 0.0000 3.8798 Tb
6.2087 0.0000 1.8180 Tb
9.6844 0.0000 9.2142 Tb
15.7214 0.0000 7.1523 Tb
3.0877 0.0000 0.8559 Tm
3.7706 0.0000 7.3778 Tm
12.1225 0.0000 3.6543 Tm
12.8054 0.0000 10.1763 Tm
6.0291 0.0000 5.0855 Te
6.5945 0.0000 9.2767 Te
9.2986 0.0000 1.7554 Te
9.8641 0.0000 5.9466 Te
```

Most intense lines, 15 to 90 degrees two-theta, in order of rising 2θ:
2θ (°), I/Imax
28.0, 16
28.3, 13
29.1, 44
31.8, 42
33.3, 13
33.5, 100
35.4, 43
45.6, 30
57.7, 20
57.8, 16

Starting from a crystal structure in Alexandria, relaxed with GGA-PBE, the powder diffractogram of TbU2Te6 was simulated for Cu Ka.

Atomic structure:
```
TbU2Te6
1.0
-2.8642 2.8642 10.9117
2.8642 -2.8642 10.9117
2.8642 2.8642 -10.9117
Tb U Te
1 2 6
Cartesian
0.0000 0.0000 0.0000 Tb
0.0000 0.0000 6.7693 U
0.0000 0.0000 15.0541 U
1.3473 -1.3473 8.9244 Te
2.8642 0.0000 5.4559 Te
1.5169 1.5169 1.9873 Te
-1.3473 1.3473 8.9244 Te
0.0000 2.8642 5.4559 Te
1.3473 1.3473 12.8990 Te
```

Most intense lines, 15 to 90 degrees two-theta, in order of rising 2θ:
2θ (°), I/Imax
19.7, 100
23.4, 43
32.3, 35
33.1, 43
35.4, 40
37.2, 41
39.8, 27
40.1, 23
44.7, 33
47.3, 21

Starting from a crystal structure in Alexandria, relaxed with GGA-PBE, the powder diffractogram of TbY4Te2 was simulated for Cu Ka.

Atomic structure:
```
TbY4Te2
1.0
2.7263 1.5740 8.8682
-2.7263 1.5740 8.8682
0.0000 -3.1480 8.8682
Tb Y Te
1 4 2
Cartesian
0.0000 0.0000 0.0000 Tb
0.0000 0.0000 6.2133 Y
0.0000 0.0000 9.7432 Y
0.0000 0.0000 16.8614 Y
0.0000 0.0000 20.3913 Y
0.0000 0.0000 3.0977 Te
0.0000 0.0000 23.5069 Te
```

Most intense lines, 15 to 90 degrees two-theta, in order of rising 2θ:
2θ (°), I/Imax
19.1, 21
30.2, 10
32.9, 100
45.2, 19
47.2, 15
58.7, 27
62.5, 7
67.4, 6
68.9, 6
78.5, 7